Theoretical powder diffraction line list of Y2Bi2O7 for λ = 1.5418 Å (Cu Kα), from a crystal structure in Alexandria, relaxed with PBE.
Kinematic intensities with the Lorentz-polarization factor, no thermal factor.

Structural model:
Lattice parameters (Å, degrees): 8.5217 5.6295 13.9865 90.00 98.36 90.00
Space group P2_1 (No. 4)
Inequivalent atoms, fractional coordinates:
Y1 0.1169 0.0000 0.0436
Y2 0.2735 0.4535 0.8705
Y3 0.3136 0.8897 0.6487
Y4 0.3213 0.4611 0.4519
Bi1 0.0041 0.9379 0.7917
Bi2 0.0086 0.4422 0.5996
Bi3 0.3515 0.9567 0.2910
Bi4 0.4314 0.4666 0.1537
O1 0.0555 0.2328 0.9077
O2 0.1029 0.7226 0.9246
O3 0.1224 0.7219 0.5219
O4 0.1373 0.7116 0.3284
O5 0.1455 0.6143 0.7221
O6 0.1638 0.1889 0.3721
O7 0.2144 0.2431 0.5819
O8 0.2142 0.2629 0.1716
O9 0.3084 0.7945 0.1404
O10 0.3281 0.0965 0.8082
O11 0.3945 0.3441 0.0140
O12 0.4393 0.5642 0.3136
O13 0.4516 0.6560 0.7833
O14 0.4676 0.7128 0.5531

Top 10 peaks for 2θ = 10–90°, in order of rising 2θ:
2θ (°)  Rel. int.  (hkl)
12.79  205  0 0 2
20.34  241  0 1 2
26.45  312  2 1 -1
28.04  753  2 1 -2
28.23  1000  1 1 3
30.95  486  2 1 -3
31.81  559  0 2 0
45.60  223  3 2 0
46.14  215  1 2 -5
48.85  206  1 0 7



Theoretical powder diffraction line list of YBi3O6 for λ = 1.5418 Å (Cu Kα), from a crystal structure in Alexandria, relaxed with PBE.
Kinematic intensities with the Lorentz-polarization factor, no thermal factor.

Structural model:
Lattice parameters (Å, degrees): 10.2164 10.2164 11.4623 90.00 90.00 120.00
Space group R-3 (No. 148, hexagonal axes)
Inequivalent atoms, fractional coordinates:
Y1 0.0000 0.0000 0.0000
Y2 0.0000 0.0000 0.5000
Bi1 0.0430 0.7823 0.2087
O1 0.0260 0.8448 0.8699
O2 0.0361 0.8304 0.3952

Top 10 peaks for 2θ = 10–90°, in order of rising 2θ:
2θ (°)  Rel. int.  (hkl)
23.28  295  0 0 3
27.79  1000  3 -1 1
29.19  358  2 -1 3
30.96  581  1 2 2
39.97  167  3 1 2
41.51  223  3 -1 4
47.07  296  4 1 0
51.04  160  1 1 6
53.15  174  4 1 3
55.51  226  2 4 1



Theoretical powder diffraction line list of Y2BiO5 for λ = 1.5418 Å (Cu Kα), from a crystal structure in Alexandria, relaxed with PBE.
Kinematic intensities with the Lorentz-polarization factor, no thermal factor.

Structural model:
Lattice parameters (Å, degrees): 9.4933 7.3820 6.7473 90.00 106.53 90.00
Space group P2_1/c (No. 14)
Inequivalent atoms, fractional coordinates:
Y1 0.0060 0.1255 0.2403
Y2 0.3391 0.1292 0.0419
Bi1 0.3318 0.6191 0.0579
O1 0.0982 0.1275 0.9471
O2 0.0981 0.6189 0.9699
O3 0.2787 0.6383 0.3589
O4 0.2834 0.1130 0.3468
O5 0.4807 0.1202 0.7693

Top 10 peaks for 2θ = 10–90°, in order of rising 2θ:
2θ (°)  Rel. int.  (hkl)
27.83  563  0 2 1
28.18  570  1 2 -1
28.96  930  2 0 -2
29.44  985  3 0 0
30.85  1000  1 2 1
31.84  902  1 0 2
36.49  349  2 2 1
47.38  647  1 2 -3
49.38  339  0 4 0
55.59  433  4 0 2



Theoretical powder diffraction line list of Y2Bi2O7 for λ = 1.5418 Å (Cu Kα), from a crystal structure in Alexandria, relaxed with PBE.
Kinematic intensities with the Lorentz-polarization factor, no thermal factor.

Structural model:
Lattice parameters (Å, degrees): 7.4681 8.2991 5.4158 90.00 94.71 90.00
Space group Cm (No. 8)
Inequivalent atoms, fractional coordinates:
Y1 0.0000 0.2315 0.0000
Bi1 0.2264 0.0000 0.4967
Bi2 0.2358 0.5000 0.5379
O1 0.0194 0.0000 0.7479
O2 0.2346 0.2999 0.7900
O3 0.2909 0.1938 0.2738
O4 0.4426 0.0000 0.7699
O5 0.4814 0.5000 0.2482

Top 10 peaks for 2θ = 10–90°, in order of rising 2θ:
2θ (°)  Rel. int.  (hkl)
16.42  222  0 0 1
27.11  1000  0 2 1
27.98  420  2 0 -1
30.27  400  2 0 1
32.31  444  2 2 0
33.20  184  0 0 2
43.62  165  0 4 0
45.46  307  2 2 -2
48.51  252  2 2 2
54.02  177  2 4 1